# Cs2U2O7
Simulated powder XRD pattern, Cu Ka. Input: a PBE-relaxed structure.

Largest 12 diffraction maxima, in order of rising 2θ, 15 to 90 degrees two-theta:
hkl 2 0 1, 21.43 deg, intensity 24; hkl 2 0 -2, 23.26 deg, intensity 20; hkl 1 1 -1, 23.53 deg, intensity 54; hkl 0 0 2, 25.01 deg, intensity 55; hkl 1 1 1, 26.17 deg, intensity 81; hkl 4 0 0, 26.48 deg, intensity 52; hkl 3 1 -1, 27.90 deg, intensity 100; hkl 4 0 -2, 28.54 deg, intensity 56; hkl 6 0 -1, 37.02 deg, intensity 22; hkl 3 1 -3, 41.04 deg, intensity 33; hkl 0 2 0, 41.52 deg, intensity 30; hkl 7 1 -1, 48.69 deg, intensity 22

```
data_Cs2U2O7
_chemical_formula_sum 'Cs4 U4 O14'
_space_group_name_H-M_alt 'C 1 2/m 1'
_space_group_IT_number 12
_cell_length_a 14.6234
_cell_length_b 4.3498
_cell_length_c 7.7328
_cell_angle_alpha 90.00
_cell_angle_beta 112.97
_cell_angle_gamma 90.00
loop_
_space_group_symop_operation_xyz
'x,y,z'
'-x,-y,-z'
'-x,y,-z'
'x,-y,z'
'x+1/2,y+1/2,z'
'-x+1/2,-y+1/2,-z'
'-x+1/2,y+1/2,-z'
'x+1/2,-y+1/2,z'
loop_
_atom_site_label
_atom_site_type_symbol
_atom_site_fract_x
_atom_site_fract_y
_atom_site_fract_z
_atom_site_occupancy
Cs1 Cs 0.1058 0.0000 0.4242 1
U1 U 0.1471 0.5000 0.9927 1
O1 O 0.0000 0.5000 0.0000 1
O2 O 0.0890 0.5000 0.7287 1
O3 O 0.1913 0.0000 0.9965 1
O4 O 0.1977 0.5000 0.2569 1
```